[1]
Simulated powder X-ray diffraction pattern of In8TePd2 for copper Kα, from the PBE geometry in OQMD.
Kinematic intensities with the Lorentz-polarization factor, no thermal factor.

Largest 12 diffraction maxima, by angle, 2θ from 5° to 70°:
d/Å, I_rel
2.997, 51
2.854, 22
2.797, 100
2.771, 50
2.755, 25
2.642, 39
2.496, 43
2.426, 35
2.257, 74
2.051, 25
2.020, 28
1.468, 28

```
data_In8TePd2
_chemical_formula_sum 'In32 Te4 Pd8'
_cell_length_a 10.2910
_cell_length_b 10.2910
_cell_length_c 10.5684
_cell_angle_alpha 90.00
_cell_angle_beta 90.00
_cell_angle_gamma 90.00
_space_group_name_H-M_alt 'P 42/m n m'
_space_group_IT_number 136
_space_group_name_Hall '-P 4n 2n'
loop_
_atom_site_label
_atom_site_type_symbol
_atom_site_fract_x
_atom_site_fract_y
_atom_site_fract_z
_atom_site_occupancy
In1 In 0.0000 0.0000 0.1617 1
In2 In 0.0551 0.2923 0.2978 1
In3 In 0.0962 0.9038 0.5000 1
In4 In 0.1903 0.8097 0.0000 1
In5 In 0.1971 0.1971 0.0000 1
Te1 Te 0.0000 0.5000 0.0000 1
Pd1 Pd 0.1846 0.8154 0.2610 1
```

[2]
Simulated powder X-ray diffraction pattern of LaPrNdGdZn12Ge6 for copper Kα, from the PBE geometry in OQMD.
Kinematic intensities with the Lorentz-polarization factor, no thermal factor.

Largest 12 diffraction maxima, by angle, 2θ from 5° to 70°:
d/Å, I_rel
2.803, 100
2.583, 14
2.512, 22
2.216, 32
2.143, 53
2.052, 24
1.844, 13
1.738, 14
1.589, 11
1.506, 19
1.371, 10
1.368, 21

```
data_LaPrNdGdZn12Ge6
_chemical_formula_sum 'La1 Pr1 Nd1 Gd1 Zn12 Ge6'
_cell_length_a 7.6753
_cell_length_b 4.1045
_cell_length_c 13.2953
_cell_angle_alpha 90.00
_cell_angle_beta 90.01
_cell_angle_gamma 90.00
_space_group_name_H-M_alt 'P 1 m 1'
_space_group_IT_number 6
loop_
_space_group_symop_operation_xyz
'x,y,z'
'x,-y,z'
loop_
_atom_site_label
_atom_site_type_symbol
_atom_site_fract_x
_atom_site_fract_y
_atom_site_fract_z
_atom_site_occupancy
La1 La 0.0000 0.0000 0.0000 1
Pr1 Pr 0.9997 0.0000 0.3349 1
Nd1 Nd 0.5005 0.0000 0.5017 1
Gd1 Gd 0.5008 0.0000 0.8334 1
Zn1 Zn 0.1442 0.5000 0.8110 1
Zn2 Zn 0.1454 0.5000 0.5245 1
Zn3 Zn 0.1897 0.0000 0.6692 1
Zn4 Zn 0.2137 0.5000 0.1672 1
Zn5 Zn 0.4053 0.0000 0.2618 1
Zn6 Zn 0.4097 0.0000 0.0712 1
Zn7 Zn 0.6438 0.5000 0.0227 1
Zn8 Zn 0.6437 0.5000 0.3123 1
Zn9 Zn 0.6893 0.0000 0.1687 1
Zn10 Zn 0.7108 0.5000 0.6674 1
Zn11 Zn 0.9015 0.0000 0.7610 1
Zn12 Zn 0.9060 0.0000 0.5731 1
Ge1 Ge 0.3099 0.5000 0.3593 1
Ge2 Ge 0.3127 0.5000 0.9742 1
Ge3 Ge 0.3837 0.5000 0.6696 1
Ge4 Ge 0.8045 0.5000 0.8572 1
Ge5 Ge 0.8083 0.5000 0.4771 1
Ge6 Ge 0.8820 0.5000 0.1677 1
```

[3]
Simulated powder X-ray diffraction pattern of Gd4Au2O9 for copper Kα, from the PBE geometry in OQMD.
Kinematic intensities with the Lorentz-polarization factor, no thermal factor.

Largest 12 diffraction maxima, by angle, 2θ from 5° to 70°:
d/Å, I_rel
5.866, 24
3.143, 100
2.933, 18
2.849, 17
2.786, 33
2.641, 22
2.623, 68
2.408, 25
1.905, 19
1.855, 18
1.741, 16
1.631, 18

```
data_Gd4Au2O9
_chemical_formula_sum 'Gd16 Au8 O36'
_cell_length_a 11.7257
_cell_length_b 5.9153
_cell_length_c 11.7355
_cell_angle_alpha 90.00
_cell_angle_beta 90.00
_cell_angle_gamma 90.00
_space_group_name_H-M_alt 'P b c n'
_space_group_IT_number 60
loop_
_space_group_symop_operation_xyz
'x,y,z'
'-x,-y,-z'
'-x+1/2,-y+1/2,z+1/2'
'x+1/2,y+1/2,-z+1/2'
'x+1/2,-y+1/2,-z'
'-x+1/2,y+1/2,z'
'-x,y,-z+1/2'
'x,-y,z+1/2'
loop_
_atom_site_label
_atom_site_type_symbol
_atom_site_fract_x
_atom_site_fract_y
_atom_site_fract_z
_atom_site_occupancy
Gd1 Gd 0.0115 0.2412 0.0908 1
Gd2 Gd 0.1582 0.1986 0.7644 1
Au1 Au 0.2273 0.4191 0.5110 1
O1 O 0.0000 0.0235 0.2500 1
O2 O 0.0731 0.3843 0.5913 1
O3 O 0.1130 0.0639 0.9452 1
O4 O 0.1616 0.4360 0.3484 1
O5 O 0.1960 0.1295 0.1612 1
```

[4]
Simulated powder X-ray diffraction pattern of HgF2 for copper Kα, from the PBE geometry in OQMD.
Kinematic intensities with the Lorentz-polarization factor, no thermal factor.

Largest 11 diffraction maxima, by angle, 2θ from 5° to 70°:
d/Å, I_rel
3.366, 39
3.128, 100
2.756, 46
2.003, 41
1.899, 34
1.721, 19
1.683, 4
1.654, 31
1.623, 15
1.564, 9
1.378, 12

```
data_HgF2
_chemical_formula_sum 'Hg3 F6'
_cell_length_a 3.7987
_cell_length_b 3.7987
_cell_length_c 10.0972
_cell_angle_alpha 90.00
_cell_angle_beta 90.00
_cell_angle_gamma 120.00
_space_group_name_H-M_alt 'R -3 m'
_space_group_IT_number 166
_space_group_name_Hall '-R 3 2"'
loop_
_atom_site_label
_atom_site_type_symbol
_atom_site_fract_x
_atom_site_fract_y
_atom_site_fract_z
_atom_site_occupancy
Hg1 Hg 0.0000 0.0000 0.0000 1
F1 F 0.0000 0.0000 0.2469 1
```

[5]
Simulated powder X-ray diffraction pattern of GaCu2IrSe4 for copper Kα, from the PBE geometry in OQMD.
Kinematic intensities with the Lorentz-polarization factor, no thermal factor.

Largest 12 diffraction maxima, by angle, 2θ from 5° to 70°:
d/Å, I_rel
5.661, 6
5.023, 15
3.963, 4
3.247, 100
3.131, 5
2.447, 5
1.992, 49
1.982, 24
1.704, 15
1.692, 29
1.415, 4
1.401, 8

```
data_GaCu2IrSe4
_chemical_formula_sum 'Ga2 Cu4 Ir2 Se8'
_cell_length_a 5.6051
_cell_length_b 5.6051
_cell_length_c 11.3227
_cell_angle_alpha 90.00
_cell_angle_beta 90.00
_cell_angle_gamma 90.00
_space_group_name_H-M_alt 'I -4'
_space_group_IT_number 82
loop_
_space_group_symop_operation_xyz
'x,y,z'
'y,-x,-z'
'-x,-y,z'
'-y,x,-z'
'x+1/2,y+1/2,z+1/2'
'y+1/2,-x+1/2,-z+1/2'
'-x+1/2,-y+1/2,z+1/2'
'-y+1/2,x+1/2,-z+1/2'
loop_
_atom_site_label
_atom_site_type_symbol
_atom_site_fract_x
_atom_site_fract_y
_atom_site_fract_z
_atom_site_occupancy
Ga1 Ga 0.0000 0.0000 0.0000 1
Cu1 Cu 0.0000 0.0000 0.5000 1
Cu2 Cu 0.0000 0.5000 0.2500 1
Ir1 Ir 0.0000 0.5000 0.7500 1
Se1 Se 0.2439 0.2436 0.3716 1
```

[6]
Simulated powder X-ray diffraction pattern of Ho2Er2InSi4Ni2 for copper Kα, from the PBE geometry in OQMD.
Kinematic intensities with the Lorentz-polarization factor, no thermal factor.

Largest 12 diffraction maxima, by angle, 2θ from 5° to 70°:
d/Å, I_rel
3.991, 36
3.277, 30
3.136, 46
2.672, 31
2.650, 33
2.621, 78
2.549, 100
2.522, 35
2.436, 44
2.427, 58
2.361, 41
2.078, 54

```
data_Ho2Er2InSi4Ni2
_chemical_formula_sum 'Ho4 Er4 In2 Si8 Ni4'
_cell_length_a 15.1474
_cell_length_b 4.1551
_cell_length_c 6.9163
_cell_angle_alpha 90.00
_cell_angle_beta 108.76
_cell_angle_gamma 90.00
_space_group_name_H-M_alt 'C 1 2/m 1'
_space_group_IT_number 12
loop_
_space_group_symop_operation_xyz
'x,y,z'
'-x,-y,-z'
'-x,y,-z'
'x,-y,z'
'x+1/2,y+1/2,z'
'-x+1/2,-y+1/2,-z'
'-x+1/2,y+1/2,-z'
'x+1/2,-y+1/2,z'
loop_
_atom_site_label
_atom_site_type_symbol
_atom_site_fract_x
_atom_site_fract_y
_atom_site_fract_z
_atom_site_occupancy
Ho1 Ho 0.1554 0.0000 0.4374 1
Er1 Er 0.0895 0.0000 0.8883 1
In1 In 0.0000 0.5000 0.5000 1
Si1 Si 0.0647 0.5000 0.1553 1
Si2 Si 0.2059 0.5000 0.7768 1
Ni1 Ni 0.2162 0.5000 0.1387 1
```

[7]
Simulated powder X-ray diffraction pattern of CuAg for copper Kα, from the PBE geometry in OQMD.
Kinematic intensities with the Lorentz-polarization factor, no thermal factor.

Largest 12 diffraction maxima, by angle, 2θ from 5° to 70°:
d/Å, I_rel
3.671, 4
3.507, 1
2.746, 2
2.338, 1
2.257, 100
1.982, 33
1.902, 15
1.897, 1
1.623, 1
1.403, 5
1.400, 5
1.372, 18

```
data_CuAg
_chemical_formula_sum 'Cu10 Ag10'
_cell_length_a 4.7238
_cell_length_b 14.0296
_cell_length_c 4.7233
_cell_angle_alpha 90.00
_cell_angle_beta 107.27
_cell_angle_gamma 90.00
_space_group_name_H-M_alt 'C 1 2 1'
_space_group_IT_number 5
loop_
_space_group_symop_operation_xyz
'x,y,z'
'-x,y,-z'
'x+1/2,y+1/2,z'
'-x+1/2,y+1/2,-z'
loop_
_atom_site_label
_atom_site_type_symbol
_atom_site_fract_x
_atom_site_fract_y
_atom_site_fract_z
_atom_site_occupancy
Cu1 Cu 0.0000 0.0000 0.0000 1
Cu2 Cu 0.0000 0.0954 0.5000 1
Cu3 Cu 0.0000 0.2997 0.5000 1
Cu4 Cu 0.0000 0.5000 0.5000 1
Cu5 Cu 0.0000 0.8035 0.0000 1
Ag1 Ag 0.0000 0.1988 0.0000 1
Ag2 Ag 0.0000 0.3972 0.0000 1
Ag3 Ag 0.0000 0.5938 0.0000 1
Ag4 Ag 0.0000 0.7013 0.5000 1
Ag5 Ag 0.0000 0.9045 0.5000 1
```

[8]
Simulated powder X-ray diffraction pattern of K2NbSe2S for copper Kα, from the PBE geometry in OQMD.
Kinematic intensities with the Lorentz-polarization factor, no thermal factor.

Largest 12 diffraction maxima, by angle, 2θ from 5° to 70°:
d/Å, I_rel
6.970, 33
6.268, 25
5.714, 46
5.665, 38
5.613, 36
3.479, 100
3.354, 65
3.283, 80
2.329, 24
2.158, 35
2.063, 25
2.007, 24

```
data_K2NbSe2S
_chemical_formula_sum 'K4 Nb2 Se4 S2'
_cell_length_a 7.0100
_cell_length_b 7.5807
_cell_length_c 8.4965
_cell_angle_alpha 76.46
_cell_angle_beta 70.99
_cell_angle_gamma 67.99
_space_group_name_H-M_alt 'P -1'
_space_group_IT_number 2
loop_
_space_group_symop_operation_xyz
'x,y,z'
'-x,-y,-z'
loop_
_atom_site_label
_atom_site_type_symbol
_atom_site_fract_x
_atom_site_fract_y
_atom_site_fract_z
_atom_site_occupancy
K1 K 0.1017 0.1935 0.1354 1
K2 K 0.3414 0.5698 0.3065 1
Nb1 Nb 0.3714 0.0527 0.6656 1
Se1 Se 0.1615 0.3820 0.7162 1
Se2 Se 0.3713 0.8135 0.9114 1
S1 S 0.2716 0.9541 0.4658 1
```

[9]
Simulated powder X-ray diffraction pattern of KLi2TmB2O6 for copper Kα, from the PBE geometry in OQMD.
Kinematic intensities with the Lorentz-polarization factor, no thermal factor.

Largest 12 diffraction maxima, by angle, 2θ from 5° to 70°:
d/Å, I_rel
6.328, 31
5.290, 100
4.920, 56
4.722, 71
4.203, 38
4.074, 74
3.229, 39
3.035, 60
2.887, 34
2.766, 31
2.680, 52
2.664, 78

```
data_KLi2TmB2O6
_chemical_formula_sum 'K4 Li8 Tm4 B8 O24'
_cell_length_a 6.6115
_cell_length_b 9.2227
_cell_length_c 9.8860
_cell_angle_alpha 90.00
_cell_angle_beta 118.37
_cell_angle_gamma 90.00
_space_group_name_H-M_alt 'P 1 21/c 1'
_space_group_IT_number 14
loop_
_space_group_symop_operation_xyz
'x,y,z'
'-x,-y,-z'
'-x,y+1/2,-z+1/2'
'x,-y+1/2,z+1/2'
loop_
_atom_site_label
_atom_site_type_symbol
_atom_site_fract_x
_atom_site_fract_y
_atom_site_fract_z
_atom_site_occupancy
K1 K 0.1604 0.1249 0.0860 1
Li1 Li 0.3642 0.1142 0.4500 1
Li2 Li 0.4247 0.6158 0.5064 1
Tm1 Tm 0.1962 0.6165 0.1585 1
B1 B 0.1113 0.1412 0.7607 1
B2 B 0.4153 0.6301 0.7834 1
O1 O 0.0008 0.1042 0.6043 1
O2 O 0.0890 0.2252 0.3154 1
O3 O 0.2593 0.0355 0.8578 1
O4 O 0.2851 0.6522 0.6275 1
O5 O 0.4513 0.7504 0.3759 1
O6 O 0.4910 0.5035 0.1505 1
```

[10]
Simulated powder X-ray diffraction pattern of LiMg2ScZn2Au2 for copper Kα, from the PBE geometry in OQMD.
Kinematic intensities with the Lorentz-polarization factor, no thermal factor.

Largest 12 diffraction maxima, by angle, 2θ from 5° to 70°:
d/Å, I_rel
3.728, 100
3.241, 9
3.223, 17
2.285, 89
2.279, 44
1.952, 18
1.944, 35
1.864, 8
1.620, 7
1.611, 15
1.483, 15
1.479, 7

```
data_LiMg2ScZn2Au2
_chemical_formula_sum 'Li1 Mg2 Sc1 Zn2 Au2'
_cell_length_a 4.5575
_cell_length_b 4.5575
_cell_length_c 6.4813
_cell_angle_alpha 90.00
_cell_angle_beta 90.00
_cell_angle_gamma 90.00
_space_group_name_H-M_alt 'P -4 m 2'
_space_group_IT_number 115
loop_
_space_group_symop_operation_xyz
'x,y,z'
'y,-x,-z'
'-x,-y,z'
'-y,x,-z'
'-x,y,z'
'-y,-x,-z'
'x,-y,z'
'y,x,-z'
loop_
_atom_site_label
_atom_site_type_symbol
_atom_site_fract_x
_atom_site_fract_y
_atom_site_fract_z
_atom_site_occupancy
Li1 Li 0.0000 0.0000 0.0000 1
Mg1 Mg 0.0000 0.5000 0.7742 1
Sc1 Sc 0.5000 0.5000 0.5000 1
Zn1 Zn 0.0000 0.5000 0.2419 1
Au1 Au 0.0000 0.0000 0.5000 1
Au2 Au 0.5000 0.5000 0.0000 1
```